This entry pairs a crystal structure of Al2CrS4 with its calculated PXRD pattern. Radiation: Cu Kα X-rays. Structure: the GGA-PBE geometry in the Materials Project.

Main lines, sorted by position (2θ from 10° to 90°):
2θ = 15.15°, I 46.1; 2θ = 29.25°, I 18.4; 2θ = 29.44°, I 22.7; 2θ = 29.56°, I 57.8; 2θ = 35.64°, I 96.3; 2θ = 35.77°, I 47.5; 2θ = 46.67°, I 24.5; 2θ = 47.01°, I 27.7; 2θ = 50.76°, I 26.2; 2θ = 51.39°, I 100.0; 2θ = 51.80°, I 24.5; 2θ = 75.47°, I 14.8

```
Al2CrS4
1.0
-3.5295 3.5973 5.0200
3.5295 -3.5973 5.0200
3.5295 3.5973 -5.0200
Al Cr S
4 2 8
Direct
0.0000 0.0000 0.0000
0.3810 0.6310 0.7500
0.5000 0.0000 0.5000
0.6190 0.3690 0.2500
0.0000 0.0000 0.5000
0.0000 0.5000 0.0000
0.2275 0.2413 0.9862
0.2432 0.2285 0.4853
0.2432 0.7579 0.0147
0.2449 0.7587 0.4862
0.7551 0.2413 0.5138
0.7568 0.2421 0.9853
0.7568 0.7715 0.5147
0.7725 0.7587 0.0138
```

***

This entry pairs a crystal structure of AlZnCrS4 with its calculated PXRD pattern. Radiation: Cu Kα X-rays. Structure: the GGA-PBE geometry in the Materials Project.

Main lines, sorted by position (2θ from 10° to 90°):
2θ = 25.01°, I 55.2; 2θ = 29.42°, I 100.0; 2θ = 30.76°, I 9.4; 2θ = 35.66°, I 35.5; 2θ = 44.05°, I 21.2; 2θ = 46.88°, I 52.0; 2θ = 51.33°, I 93.7; 2θ = 60.27°, I 12.1; 2θ = 69.91°, I 11.9; 2θ = 72.04°, I 17.6; 2θ = 75.54°, I 13.2; 2θ = 83.06°, I 12.8

```
AlZnCrS4
1.0
-3.5590 3.5606 5.0359
3.5590 -3.5606 5.0359
3.5590 3.5606 -5.0359
Al Zn Cr S
2 2 2 8
Direct
0.5000 0.0000 0.0000
0.5000 0.5000 0.5000
0.1245 0.3745 0.7500
0.8755 0.6255 0.2500
0.0000 0.0000 0.0000
0.5000 0.0000 0.5000
0.2595 0.2398 0.0197
0.2601 0.2395 0.4795
0.2601 0.7806 0.0205
0.2799 0.7602 0.5197
0.7201 0.2398 0.4803
0.7399 0.2194 0.9795
0.7399 0.7605 0.5205
0.7405 0.7602 0.9803
```

***

This entry pairs a crystal structure of Al8Cr4Si3 with its calculated PXRD pattern. Radiation: Cu Kα X-rays. Structure: the GGA-PBE geometry in the Materials Project.

Main lines, sorted by position (2θ from 10° to 90°):
2θ = 18.34°, I 31.3; 2θ = 23.18°, I 36.3; 2θ = 41.56°, I 61.4; 2θ = 41.77°, I 100.0; 2θ = 42.16°, I 66.9; 2θ = 42.36°, I 56.9; 2θ = 42.66°, I 70.4; 2θ = 43.30°, I 37.9; 2θ = 43.64°, I 57.2; 2θ = 44.47°, I 33.3; 2θ = 44.71°, I 39.6; 2θ = 45.28°, I 31.2

```
Al8Cr4Si3
1.0
4.9350 0.0000 0.0000
-1.0155 5.0449 0.0000
-0.0833 -2.5710 8.4778
Al Cr Si
8 4 3
Direct
0.0048 0.0972 0.3713
0.0801 0.3356 0.8770
0.3234 0.2808 0.1356
0.4453 0.8282 0.1806
0.5547 0.1718 0.8194
0.6766 0.7192 0.8644
0.9199 0.6644 0.1230
0.9952 0.9028 0.6287
0.1764 0.6157 0.3764
0.2032 0.8503 0.8995
0.7968 0.1497 0.1005
0.8236 0.3843 0.6236
0.3386 0.5398 0.6258
0.5000 0.0000 0.5000
0.6614 0.4602 0.3742
```

***

This entry pairs a crystal structure of Al13Cr4Si4 with its calculated PXRD pattern. Radiation: Cu Kα X-rays. Structure: the GGA-PBE geometry in the Materials Project.

Main lines, sorted by position (2θ from 10° to 90°):
2θ = 14.06°, I 59.5; 2θ = 16.25°, I 9.5; 2θ = 27.11°, I 18.5; 2θ = 35.88°, I 19.9; 2θ = 40.50°, I 33.6; 2θ = 43.08°, I 100.0; 2θ = 47.12°, I 38.2; 2θ = 50.17°, I 11.8; 2θ = 65.74°, I 11.3; 2θ = 73.67°, I 27.0; 2θ = 75.45°, I 10.0; 2θ = 89.34°, I 16.3

```
Al13Cr4Si4
1.0
0.0000 5.4554 5.4554
5.4554 0.0000 5.4554
5.4554 5.4554 0.0000
Al Cr Si
13 4 4
Direct
0.0000 0.0000 0.0000
0.3093 0.3093 0.6907
0.3093 0.6907 0.3093
0.3093 0.6907 0.6907
0.5591 0.5591 0.9409
0.5591 0.9409 0.5591
0.5591 0.9409 0.9409
0.6907 0.3093 0.3093
0.6907 0.3093 0.6907
0.6907 0.6907 0.3093
0.9409 0.5591 0.5591
0.9409 0.5591 0.9409
0.9409 0.9409 0.5591
0.3422 0.3422 0.3422
0.3422 0.3422 0.9733
0.3422 0.9733 0.3422
0.9733 0.3422 0.3422
0.1274 0.1274 0.1274
0.1274 0.1274 0.6177
0.1274 0.6177 0.1274
0.6177 0.1274 0.1274
```

***

This entry pairs a crystal structure of Al9Cr3Si with its calculated PXRD pattern. Radiation: Cu Kα X-rays. Structure: the GGA-PBE geometry in the Materials Project.

Main lines, sorted by position (2θ from 10° to 90°):
2θ = 13.62°, I 90.3; 2θ = 37.10°, I 32.7; 2θ = 41.69°, I 23.6; 2θ = 43.33°, I 100.0; 2θ = 43.49°, I 91.2; 2θ = 44.51°, I 55.7; 2θ = 46.36°, I 15.7; 2θ = 48.53°, I 21.0; 2θ = 73.08°, I 19.6; 2θ = 74.78°, I 28.6; 2θ = 76.10°, I 17.0; 2θ = 77.35°, I 17.5

```
Al9Cr3Si
1.0
7.5046 0.0000 0.0000
-3.7523 6.4992 0.0000
0.0000 0.0000 7.8340
Al Cr Si
18 6 2
Direct
0.0868 0.5434 0.2500
0.2015 0.4029 0.5627
0.2015 0.4029 0.9373
0.2015 0.7985 0.5627
0.2015 0.7985 0.9373
0.4029 0.2015 0.0627
0.4029 0.2015 0.4373
0.4566 0.5434 0.2500
0.4566 0.9132 0.2500
0.5434 0.0868 0.7500
0.5434 0.4566 0.7500
0.5970 0.7985 0.5627
0.5970 0.7985 0.9373
0.7985 0.2015 0.0627
0.7985 0.2015 0.4373
0.7985 0.5970 0.0627
0.7985 0.5970 0.4373
0.9132 0.4566 0.7500
0.1157 0.2315 0.2500
0.1157 0.8843 0.2500
0.2315 0.1157 0.7500
0.7685 0.8843 0.2500
0.8843 0.1157 0.7500
0.8843 0.7685 0.7500
0.0000 0.0000 0.0000
0.0000 0.0000 0.5000
```

***

This entry pairs a crystal structure of Al3Cr20Si9 with its calculated PXRD pattern. Radiation: Cu Kα X-rays. Structure: the GGA-PBE geometry in the Materials Project.

Main lines, sorted by position (2θ from 10° to 90°):
2θ = 13.69°, I 11.3; 2θ = 29.12°, I 19.2; 2θ = 38.91°, I 28.5; 2θ = 39.38°, I 18.3; 2θ = 40.53°, I 62.4; 2θ = 43.83°, I 52.8; 2θ = 44.26°, I 77.2; 2θ = 45.31°, I 100.0; 2θ = 48.35°, I 52.9; 2θ = 57.85°, I 11.4; 2θ = 74.50°, I 17.4; 2θ = 74.96°, I 19.8

```
Al3Cr20Si9
1.0
2.3147 -6.4625 0.0000
2.3147 6.4625 0.0000
0.0000 0.0000 12.9589
Al Cr Si
3 20 9
Direct
0.0000 0.0000 0.0000
0.0000 0.0000 0.5000
0.5000 0.5000 0.0000
0.0910 0.4092 0.0787
0.0996 0.4111 0.4228
0.1714 0.3303 0.8425
0.1789 0.3333 0.6543
0.2473 0.7474 0.2513
0.2526 0.7527 0.7487
0.3303 0.1714 0.1575
0.3333 0.1789 0.3457
0.4092 0.0910 0.9213
0.4111 0.0996 0.5772
0.5889 0.9004 0.5772
0.5908 0.9090 0.9213
0.6667 0.8211 0.3457
0.6697 0.8286 0.1575
0.7474 0.2473 0.7487
0.7527 0.2526 0.2513
0.8211 0.6667 0.6543
0.8286 0.6697 0.8425
0.9004 0.5889 0.4228
0.9090 0.5908 0.0787
0.0000 0.5000 0.5836
0.0000 0.5000 0.9155
0.1648 0.3302 0.2500
0.3302 0.1648 0.7500
0.5000 0.0000 0.0845
0.5000 0.0000 0.4164
0.5000 0.5000 0.5000
0.6698 0.8352 0.7500
0.8352 0.6698 0.2500
```

***

This entry pairs a crystal structure of SmAl8Cr4 with its calculated PXRD pattern. Radiation: Cu Kα X-rays. Structure: the GGA-PBE geometry in the Materials Project.

Main lines, sorted by position (2θ from 10° to 90°):
2θ = 13.92°, I 51.1; 2θ = 20.08°, I 48.9; 2θ = 28.05°, I 40.8; 2θ = 28.30°, I 67.3; 2θ = 31.44°, I 33.1; 2θ = 34.74°, I 52.2; 2θ = 40.09°, I 78.3; 2θ = 40.27°, I 86.5; 2θ = 40.80°, I 100.0; 2θ = 58.53°, I 36.6; 2θ = 72.95°, I 22.2; 2θ = 73.32°, I 25.0

```
SmAl8Cr4
1.0
-4.4987 4.4987 2.5394
4.4987 -4.4987 2.5394
4.4987 4.4987 -2.5394
Sm Al Cr
1 8 4
Direct
0.0000 0.0000 0.0000
0.0000 0.3381 0.3381
0.0000 0.6619 0.6619
0.2748 0.5000 0.7748
0.3381 0.0000 0.3381
0.5000 0.2748 0.7748
0.5000 0.7252 0.2252
0.6619 0.0000 0.6619
0.7252 0.5000 0.2252
0.0000 0.0000 0.5000
0.0000 0.5000 0.0000
0.5000 0.0000 0.0000
0.5000 0.5000 0.5000
```